Entry 1:
Starting from a structure optimized by DFT (PBE), the powder diffractogram of Dy5Y12Th was simulated for Cu Kα (weighted mean of Kα1 and Kα2).

Most intense lines, 2θ from 15° to 90°, by angle:
25.64°, I 8; 30.69°, I 100; 35.59°, I 50; 51.21°, I 35; 60.89°, I 42; 63.91°, I 12; 75.30°, I 4; 83.52°, I 17; 86.16°, I 11; 86.29°, I 5

Atomic structure:
```
Dy5Y12Th
1.0
7.560 -7.573 0.000
7.560 7.573 0.000
0.000 0.000 5.048
Dy Y Th
5 12 1
direct
0.000 0.000 0.000 Dy
0.166 0.834 0.500 Dy
0.336 0.664 0.000 Dy
0.664 0.336 0.000 Dy
0.834 0.166 0.500 Dy
0.001 0.669 0.000 Y
0.165 0.165 0.500 Y
0.168 0.501 0.500 Y
0.331 0.999 0.000 Y
0.336 0.336 0.000 Y
0.499 0.832 0.500 Y
0.501 0.168 0.500 Y
0.664 0.664 0.000 Y
0.669 0.001 0.000 Y
0.832 0.499 0.500 Y
0.835 0.835 0.500 Y
0.999 0.331 0.000 Y
0.500 0.500 0.500 Th
```

Entry 2:
Starting from a structure optimized by DFT (PBE), the powder diffractogram of ThAg4Hg was simulated for Cu Kα (weighted mean of Kα1 and Kα2).

Most intense lines, 2θ from 15° to 90°, by angle:
19.33°, I 3; 31.82°, I 50; 37.50°, I 100; 39.24°, I 21; 56.70°, I 20; 60.48°, I 33; 66.50°, I 25; 75.62°, I 9; 78.93°, I 11; 80.02°, I 7

Atomic structure:
```
ThAg4Hg
1.0
0.000 3.977 3.977
3.977 0.000 3.977
3.977 3.977 0.000
Th Ag Hg
1 4 1
direct
0.000 0.000 0.000 Th
0.126 0.625 0.625 Ag
0.625 0.126 0.625 Ag
0.625 0.625 0.126 Ag
0.625 0.625 0.625 Ag
0.250 0.250 0.250 Hg
```

Entry 3:
Starting from a structure optimized by DFT (PBE), the powder diffractogram of Th3GeSe2 was simulated for Cu Kα (weighted mean of Kα1 and Kα2).

Most intense lines, 2θ from 15° to 90°, by angle:
25.48°, I 22; 25.93°, I 21; 29.77°, I 100; 42.00°, I 13; 42.61°, I 51; 43.16°, I 12; 52.34°, I 14; 53.33°, I 13; 61.83°, I 13; 70.17°, I 12

Atomic structure:
```
Th3GeSe2
1.0
-2.151 2.998 6.288
2.151 -2.998 6.288
2.151 2.998 -6.288
Th Ge Se
3 1 2
direct
0.000 0.000 0.000 Th
0.337 0.337 0.000 Th
0.663 0.663 0.000 Th
0.500 0.000 0.500 Ge
0.167 0.667 0.500 Se
0.833 0.333 0.500 Se
```

Entry 4:
Starting from a structure optimized by DFT (PBE), the powder diffractogram of AcTl4 was simulated for Cu Kα (weighted mean of Kα1 and Kα2).

Most intense lines, 2θ from 15° to 90°, by angle:
30.90°, I 92; 31.61°, I 100; 33.30°, I 39; 33.60°, I 44; 41.36°, I 18; 48.03°, I 29; 54.30°, I 17; 58.40°, I 16; 58.86°, I 32; 62.10°, I 30

Atomic structure:
```
AcTl4
1.0
-2.667 3.520 8.347
2.667 -3.520 8.347
2.667 3.520 -8.347
Ac Tl
2 8
direct
0.347 0.097 0.250 Ac
0.653 0.903 0.750 Ac
0.000 0.500 0.500 Tl
0.136 0.886 0.250 Tl
0.198 0.699 0.499 Tl
0.300 0.301 0.999 Tl
0.500 0.500 0.000 Tl
0.700 0.699 0.001 Tl
0.802 0.301 0.501 Tl
0.864 0.114 0.750 Tl
```

Entry 5:
Starting from a structure optimized by DFT (PBE), the powder diffractogram of Li2HoSn2Hg2 was simulated for Cu Kα (weighted mean of Kα1 and Kα2).

Most intense lines, 2θ from 15° to 90°, by angle:
22.32°, I 31; 23.15°, I 26; 26.25°, I 69; 33.42°, I 100; 38.65°, I 98; 45.65°, I 37; 52.00°, I 29; 61.30°, I 19; 66.63°, I 28; 69.95°, I 18

Atomic structure:
```
Li2HoSn2Hg2
1.0
2.330 1.345 8.374
-2.330 1.345 8.374
0.000 -2.690 8.374
Li Ho Sn Hg
2 1 2 2
direct
0.142 0.142 0.142 Li
0.858 0.858 0.858 Li
0.000 0.000 0.000 Ho
0.268 0.268 0.268 Sn
0.732 0.732 0.732 Sn
0.442 0.442 0.442 Hg
0.558 0.558 0.558 Hg
```

Entry 6:
Starting from a structure optimized by DFT (PBE), the powder diffractogram of Nb2V2Au was simulated for Cu Kα (weighted mean of Kα1 and Kα2).

Most intense lines, 2θ from 15° to 90°, by angle:
28.60°, I 50; 29.92°, I 17; 32.94°, I 21; 37.00°, I 34; 37.32°, I 100; 40.96°, I 36; 41.22°, I 20; 41.96°, I 22; 52.31°, I 16; 72.20°, I 13

Atomic structure:
```
Nb2V2Au
1.0
-2.204 6.570 2.987
2.204 -6.570 2.987
2.204 6.570 -2.987
Nb V Au
4 4 2
direct
0.215 0.106 0.109 Nb
0.497 0.106 0.391 Nb
0.503 0.894 0.609 Nb
0.785 0.894 0.891 Nb
0.082 0.640 0.442 V
0.302 0.360 0.942 V
0.698 0.640 0.058 V
0.918 0.360 0.558 V
0.228 0.478 0.750 Au
0.772 0.522 0.250 Au
```